Starting from a crystal structure in Alexandria, relaxed with GGA+U, the XRD peak list of NaCr2IO8 was computed for Cu Kα.

Peak list (10 most intense, 15° ≤ 2θ ≤ 90°, most intense first)
index  d/Å  I/Imax
0 1 -1  4.721  100
1 1 0  2.914  57
1 0 1  3.896  49
-1 1 1  3.702  46
1 0 -2  3.150  46
0 1 -2  3.476  26
1 -2 0  2.723  25
0 1 0  5.072  24
1 -1 3  2.371  16
0 1 2  2.856  14

Cell and atoms:
a b c (Å): 5.0926 5.6124 8.0813
angles (deg): 100.60 90.08 112.73
Space group P-1 (No. 2)
Inequivalent atoms, fractional coordinates:
Na1 0.0000 0.0000 0.0000
Cr1 0.3843 0.6903 0.2362
I1 0.0000 0.0000 0.5000
O1 0.2227 0.7515 0.4163
O2 0.2462 0.1156 0.7342
O3 0.2582 0.7651 0.0794
O4 0.3274 0.3801 0.1946